[1]
Starting from a structure optimized by DFT (GGA-PBE), the PXRD pattern of Cs3KZn2Cl8 was calculated for Cu Kα X-rays.
Neutral-atom scattering factors, no anomalous dispersion.

Peak list (10 most intense, 2θ = 10–90°, by intensity)
2θ 23.06, d = 3.857 Å, I = 100, (1 1 0)
2θ 32.42, d = 2.761 Å, I = 61, (2 0 2)
2θ 22.48, d = 3.955 Å, I = 57, (0 1 2)
2θ 47.13, d = 1.928 Å, I = 30, (2 2 0)
2θ 28.22, d = 3.162 Å, I = 29, (0 2 1)
2θ 40.16, d = 2.245 Å, I = 24, (1 2 2)
2θ 40.51, d = 2.227 Å, I = 22, (3 0 0)
2θ 30.42, d = 2.939 Å, I = 19, (1 0 3)
2θ 45.88, d = 1.978 Å, I = 18, (0 2 4)
2θ 16.05, d = 5.523 Å, I = 15, (0 1 1)

Structural model:
Unit cell a=7.7136 b=7.7136 c=9.8168 alpha=90.00 beta=90.00 gamma=120.00
Space group P-3m1 (No. 164)
Unique sites:
Cs 0.0000 0.0000 0.0000
Cs 0.3333 0.6667 0.6407
K 0.0000 0.0000 0.5000
Zn 0.3333 0.6667 0.2095
Cl 0.1752 0.3504 0.3042
Cl 0.3333 0.6667 0.9824

***

[2]
Starting from a structure optimized by DFT (GGA-PBE), the PXRD pattern of NdErAs2Rh5 was calculated for Cu Kα X-rays.
Neutral-atom scattering factors, no anomalous dispersion.

Peak list (10 most intense, 2θ = 10–90°, by intensity)
2θ 36.06, d = 2.491 Å, I = 100, (1 1 2)
2θ 42.32, d = 2.136 Å, I = 50, (2 0 0)
2θ 73.31, d = 1.291 Å, I = 25, (3 1 2)
2θ 71.42, d = 1.321 Å, I = 17, (1 1 6)
2θ 60.37, d = 1.533 Å, I = 16, (2 0 4)
2θ 61.40, d = 1.510 Å, I = 16, (2 2 0)
2θ 29.12, d = 3.067 Å, I = 16, (1 0 2)
2θ 40.97, d = 2.203 Å, I = 13, (0 0 4)
2θ 37.15, d = 2.420 Å, I = 11, (1 0 3)
2θ 42.95, d = 2.106 Å, I = 10, (1 1 3)

Structural model:
Unit cell a=4.271 b=4.271 c=8.812 alpha=90.00 beta=90.00 gamma=90.00
Space group P4/mmm (No. 123)
Unique sites:
Nd 0.000 0.000 0.000
Er 0.000 0.000 0.500
As 0.500 0.500 0.355
Rh 0.000 0.500 0.239
Rh 0.500 0.500 0.000

***

[3]
Starting from a structure optimized by DFT (GGA-PBE), the PXRD pattern of Nd3Cu3Pd was calculated for Cu Kα X-rays.
Neutral-atom scattering factors, no anomalous dispersion.

Peak list (10 most intense, 2θ = 10–90°, by intensity)
2θ 32.34, d = 2.768 Å, I = 100, (1 1 2)
2θ 32.98, d = 2.716 Å, I = 56, (1 0 5)
2θ 39.11, d = 2.303 Å, I = 32, (0 1 7)
2θ 41.60, d = 2.171 Å, I = 30, (0 2 0)
2θ 36.35, d = 2.471 Å, I = 28, (1 1 4)
2θ 54.08, d = 1.696 Å, I = 27, (1 2 5)
2θ 24.85, d = 3.582 Å, I = 25, (0 1 3)
2θ 46.84, d = 1.940 Å, I = 21, (2 0 0)
2θ 42.30, d = 2.137 Å, I = 20, (1 1 6)
2θ 74.26, d = 1.277 Å, I = 18, (1 2 11)

Structural model:
Unit cell a=3.880 b=4.342 c=19.018 alpha=90.00 beta=90.00 gamma=90.00
Space group Imm2 (No. 44)
Unique sites:
Nd 0.000 0.000 0.000
Nd 0.000 0.000 0.365
Nd 0.000 0.500 0.185
Cu 0.000 0.000 0.547
Cu 0.000 0.000 0.827
Cu 0.000 0.500 0.615
Pd 0.000 0.500 0.748

***

[4]
Starting from a structure optimized by DFT (GGA-PBE), the PXRD pattern of LaMg2Zn9 was calculated for Cu Kα X-rays.
Neutral-atom scattering factors, no anomalous dispersion.

Peak list (10 most intense, 2θ = 10–90°, by intensity)
2θ 39.75, d = 2.268 Å, I = 100, (1 1 6)
2θ 42.75, d = 2.115 Å, I = 52, (0 0 12)
2θ 38.87, d = 2.317 Å, I = 30, (0 2 1)
2θ 10.46, d = 8.460 Å, I = 28, (0 0 3)
2θ 63.93, d = 1.456 Å, I = 23, (0 3 6)
2θ 85.67, d = 1.134 Å, I = 23, (2 2 12)
2θ 23.71, d = 3.752 Å, I = 22, (1 0 4)
2θ 70.05, d = 1.343 Å, I = 22, (2 2 0)
2θ 39.37, d = 2.288 Å, I = 20, (2 0 2)
2θ 33.35, d = 2.686 Å, I = 20, (1 1 0)

Structural model:
Unit cell a=5.3728 b=5.3728 c=25.3811 alpha=90.00 beta=90.00 gamma=120.00
Space group R-3m (No. 166, hexagonal axes)
Unique sites:
La 0.0000 0.0000 0.0000
Mg 0.0000 0.0000 0.1419
Zn 0.0000 0.0000 0.3340
Zn 0.0000 0.0000 0.5000
Zn 0.0064 0.5032 0.9138

***

[5]
Starting from a structure optimized by DFT (GGA-PBE), the PXRD pattern of PrHo3Co was calculated for Cu Kα X-rays.
Neutral-atom scattering factors, no anomalous dispersion.

Peak list (10 most intense, 2θ = 10–90°, by intensity)
2θ 31.21, d = 2.866 Å, I = 100, (1 1 -3)
2θ 31.38, d = 2.851 Å, I = 100, (1 2 1)
2θ 32.10, d = 2.789 Å, I = 96, (3 1 -1)
2θ 29.31, d = 3.047 Å, I = 63, (2 0 2)
2θ 49.10, d = 1.856 Å, I = 46, (2 3 -2)
2θ 27.96, d = 3.191 Å, I = 29, (2 1 -2)
2θ 57.65, d = 1.599 Å, I = 28, (0 3 4)
2θ 40.24, d = 2.241 Å, I = 24, (0 1 4)
2θ 40.73, d = 2.215 Å, I = 24, (2 2 2)
2θ 49.67, d = 1.835 Å, I = 22, (4 0 -4)

Structural model:
Unit cell a=9.366 b=6.452 c=9.727 alpha=90.00 beta=100.62 gamma=90.00
Space group P2_1/c (No. 14)
Unique sites:
Pr 0.068 0.076 0.183
Ho 0.180 0.585 0.054
Ho 0.307 0.081 0.925
Ho 0.445 0.589 0.825
Co 0.429 0.736 0.570

***

[6]
Starting from a structure optimized by DFT (GGA-PBE), the PXRD pattern of Rb2HoB2S6 was calculated for Cu Kα X-rays.
Neutral-atom scattering factors, no anomalous dispersion.

Peak list (10 most intense, 2θ = 10–90°, by intensity)
2θ 24.91, d = 3.574 Å, I = 100, (2 0 1)
2θ 34.68, d = 2.587 Å, I = 62, (2 2 -2)
2θ 15.73, d = 5.633 Å, I = 59, (1 1 0)
2θ 26.55, d = 3.358 Å, I = 52, (0 2 0)
2θ 21.90, d = 4.058 Å, I = 32, (2 0 -2)
2θ 45.01, d = 2.014 Å, I = 31, (0 2 3)
2θ 45.88, d = 1.978 Å, I = 27, (4 2 -3)
2θ 36.72, d = 2.447 Å, I = 24, (4 0 -3)
2θ 54.67, d = 1.679 Å, I = 23, (0 4 0)
2θ 42.84, d = 2.111 Å, I = 22, (1 1 3)

Structural model:
Unit cell a=11.631 b=6.716 c=8.495 alpha=90.00 beta=117.25 gamma=90.00
Space group C2/m (No. 12)
Unique sites:
Rb 0.213 0.000 0.140
Ho 0.000 0.000 0.500
B 0.094 0.500 0.282
S 0.011 0.267 0.267
S 0.244 0.500 0.265

***

[7]
Starting from a structure optimized by DFT (GGA-PBE), the PXRD pattern of AcLa2Eu was calculated for Cu Kα X-rays.
Neutral-atom scattering factors, no anomalous dispersion.

Peak list (10 most intense, 2θ = 10–90°, by intensity)
2θ 28.42, d = 3.141 Å, I = 100, (1 0 4)
2θ 32.96, d = 2.718 Å, I = 68, (0 1 8)
2θ 56.09, d = 1.640 Å, I = 45, (1 1 12)
2θ 28.52, d = 3.130 Å, I = 33, (0 0 12)
2θ 47.24, d = 1.924 Å, I = 25, (1 1 0)
2θ 47.37, d = 1.919 Å, I = 25, (1 0 16)
2θ 56.23, d = 1.636 Å, I = 15, (0 1 20)
2θ 87.95, d = 1.110 Å, I = 13, (3 0 0)
2θ 58.80, d = 1.570 Å, I = 13, (2 0 8)
2θ 76.27, d = 1.248 Å, I = 12, (2 1 4)

Structural model:
Unit cell a=3.8484 b=3.8484 c=37.5561 alpha=90.00 beta=90.00 gamma=120.00
Space group R-3m (No. 166, hexagonal axes)
Unique sites:
Ac 0.0000 0.0000 0.0000
La 0.0000 0.0000 0.2506
Eu 0.0000 0.0000 0.5000

***

[8]
Starting from a structure optimized by DFT (GGA-PBE), the PXRD pattern of Ac3Ge6IrPd2 was calculated for Cu Kα X-rays.
Neutral-atom scattering factors, no anomalous dispersion.

Peak list (10 most intense, 2θ = 10–90°, by intensity)
2θ 28.30, d = 3.153 Å, I = 100, (1 1 0)
2θ 39.71, d = 2.270 Å, I = 73, (2 0 2)
2θ 27.27, d = 3.270 Å, I = 71, (0 1 2)
2θ 34.64, d = 2.590 Å, I = 49, (0 2 1)
2θ 58.55, d = 1.577 Å, I = 28, (2 2 0)
2θ 49.48, d = 1.842 Å, I = 25, (1 2 2)
2θ 32.91, d = 2.721 Å, I = 25, (0 0 3)
2θ 43.92, d = 2.061 Å, I = 20, (1 1 3)
2θ 56.28, d = 1.635 Å, I = 19, (0 2 4)
2θ 47.15, d = 1.928 Å, I = 18, (0 2 3)

Structural model:
Unit cell a=6.3061 b=6.3061 c=8.1645 alpha=90.00 beta=90.00 gamma=120.00
Space group P-3m1 (No. 164)
Unique sites:
Ac 0.0000 0.0000 0.0000
Ac 0.3333 0.6667 0.6858
Ge 0.1930 0.3860 0.3190
Ir 0.0000 0.0000 0.5000
Pd 0.3333 0.6667 0.0541

***

[9]
Starting from a structure optimized by DFT (GGA-PBE), the PXRD pattern of CaPr2Rh was calculated for Cu Kα X-rays.
Neutral-atom scattering factors, no anomalous dispersion.

Peak list (10 most intense, 2θ = 10–90°, by intensity)
2θ 29.46, d = 3.032 Å, I = 100, (0 1 5)
2θ 43.87, d = 2.064 Å, I = 41, (1 1 0)
2θ 35.51, d = 2.528 Å, I = 39, (0 1 8)
2θ 27.90, d = 3.198 Å, I = 27, (1 0 4)
2θ 48.58, d = 1.874 Å, I = 27, (1 0 13)
2θ 40.38, d = 2.234 Å, I = 23, (1 0 10)
2θ 53.73, d = 1.706 Å, I = 18, (2 0 5)
2θ 44.94, d = 2.017 Å, I = 18, (1 1 3)
2θ 25.69, d = 3.468 Å, I = 17, (0 1 2)
2θ 52.87, d = 1.732 Å, I = 17, (1 1 9)

Structural model:
Unit cell a=4.1277 b=4.1277 c=28.6081 alpha=90.00 beta=90.00 gamma=120.00
Space group R3m (No. 160, hexagonal axes)
Unique sites:
Ca 0.0000 0.0000 0.0000
Pr 0.0000 0.0000 0.2229
Pr 0.0000 0.0000 0.4469
Rh 0.0000 0.0000 0.8351